# Fe5O8F2
Calculated powder X-ray diffraction pattern, copper Kα. Input: a crystal structure in the Materials Project, relaxed with PBE+U.
Peak positions follow from Bragg's law for the DFT cell and can differ from measured ones.

Top 10 peaks for 10° ≤ 2θ ≤ 90°, sorted by position:
| Position (°2θ) | Rel. int. |
| --- | --- |
| 26.74 | 100 |
| 27.52 | 97 |
| 35.42 | 79 |
| 35.49 | 26 |
| 53.04 | 30 |
| 53.10 | 29 |
| 53.86 | 28 |
| 54.04 | 28 |
| 67.92 | 20 |
| 68.08 | 20 |

Cell and atoms:
Cell: 4.6528 5.5502 12.9342 Å, 102.08 90.70 91.28°
Atoms (fractional coordinates):
Fe 0.0000 0.0000 0.0000
Fe 0.0028 0.4111 0.5947
Fe 0.0177 0.6019 0.3876
Fe 0.0351 0.8049 0.1942
Fe 0.4986 0.4908 0.9867
Fe 0.5072 0.2853 0.1943
Fe 0.5285 0.6863 0.7889
Fe 0.5326 0.8830 0.5886
Fe 0.5437 0.0846 0.3915
Fe 0.9912 0.2104 0.7984
O 0.2048 0.7447 0.0578
O 0.2103 0.5404 0.2507
O 0.3151 0.4398 0.8476
O 0.3199 0.2376 0.0554
O 0.3255 0.6409 0.6519
O 0.3282 0.0430 0.2624
O 0.3308 0.8383 0.4521
O 0.7099 0.7517 0.9284
O 0.7108 0.9496 0.7301
O 0.7131 0.3527 0.3338
O 0.7147 0.1494 0.5305
O 0.8183 0.0497 0.1386
O 0.8199 0.2497 0.9365
O 0.8205 0.4472 0.7289
O 0.8331 0.8490 0.3239
O 0.8352 0.6500 0.5240
F 0.2123 0.1358 0.6518
F 0.2117 0.9401 0.8525
F 0.2198 0.3346 0.4540
F 0.7124 0.5529 0.1317

# Fe3O5F
Calculated powder X-ray diffraction pattern, copper Kα. Input: a crystal structure in the Materials Project, relaxed with PBE+U.
Peak positions follow from Bragg's law for the DFT cell and can differ from measured ones.

Top 10 peaks for 10° ≤ 2θ ≤ 90°, sorted by position:
| Position (°2θ) | Rel. int. |
| --- | --- |
| 26.57 | 100 |
| 27.85 | 97 |
| 35.43 | 53 |
| 35.82 | 50 |
| 38.87 | 20 |
| 52.59 | 30 |
| 53.43 | 29 |
| 54.33 | 29 |
| 54.61 | 27 |
| 67.92 | 21 |

Cell and atoms:
Cell: 4.6389 4.6389 9.0117 Å, 90.69 90.69 87.34°
Atoms (fractional coordinates):
Fe 0.0000 0.0000 0.0000
Fe 0.0042 0.0042 0.6584
Fe 0.4741 0.4741 0.8327
Fe 0.5000 0.5000 0.5000
Fe 0.5259 0.5259 0.1673
Fe 0.9958 0.9958 0.3416
O 0.1786 0.1786 0.8310
O 0.1937 0.1937 0.4957
O 0.3003 0.6853 0.6666
O 0.3052 0.6948 0.0000
O 0.3147 0.6997 0.3334
O 0.6853 0.3003 0.6666
O 0.6948 0.3052 0.0000
O 0.6997 0.3147 0.3334
O 0.8063 0.8063 0.5043
O 0.8214 0.8214 0.1690
F 0.2055 0.2055 0.1678
F 0.7945 0.7945 0.8322